# Nb2SiTe4
Computed powder XRD pattern, Cu Kα X-rays. Input: a structure optimized by DFT (GGA-PBE).
Lines closer than 0.1° are merged.

Peak list (8 most intense, 10° ≤ 2θ ≤ 90°, low angle first)
Position (°2θ)  I/Imax  (hkl)
11.65  100  0 1 0
23.42  28  0 2 0
26.67  51  1 0 -2
30.83  47  1 2 2
32.89  83  -1 2 2
34.42  33  2 2 0
38.49  55  1 2 -2
48.40  38  3 0 -2

Crystal structure
```
14
Lattice="6.400 0.000 0.000 0.984 7.847 0.000 0.001 2.000 7.712" Properties=species:S:1:pos:R:3 pbc="T T T"
Nb 0.668 0.326 1.255
Nb 3.517 9.172 5.111
Nb 3.867 0.675 2.601
Nb 6.716 9.521 6.457
Si 0.000 1.000 3.856
Si 3.200 0.000 0.000
Te 1.417 3.613 6.399
Te 1.782 2.615 2.546
Te 2.402 7.800 7.351
Te 2.766 6.799 3.493
Te 4.618 3.048 4.218
Te 4.982 2.047 0.360
Te 5.602 7.232 5.165
Te 5.967 6.234 1.312
```